This entry pairs a crystal structure of Cs2SiTeSe4 with its computed powder diffraction line list. Radiation: Cu Kα X-rays. Structure: a PBE-relaxed structure.
No peak broadening, texture or thermal motion is included.

Peak list (10 most intense, 10° ≤ 2θ ≤ 90°, by intensity)
(hkl)	Position (°2θ)	d [Å]	Rel. int.
2 2 2	30.4	2.936	100.0
0 0 2	17.9	4.948	63.6
2 2 0	22.5	3.946	45.9
4 0 -2	34.2	2.621	40.0
2 2 -4	40.9	2.204	35.1
1 1 -3	28.2	3.166	25.0
1 3 -1	26.5	3.357	24.6
3 3 -1	34.3	2.612	23.2
0 4 2	37.2	2.417	23.1
2 6 0	52.2	1.754	22.2

Structural model:
```
data_Cs2SiTeSe4
_cell_length_a 11.373
_cell_length_b 11.079
_cell_length_c 10.012
_cell_angle_alpha 90.00
_cell_angle_beta 98.73
_cell_angle_gamma 90.00
_space_group_name_H-M_alt 'C 1 2/c 1'
_space_group_IT_number 15
loop_
_space_group_symop_operation_xyz
'x,y,z'
'-x,-y,-z'
'-x,y,-z+1/2'
'x,-y,z+1/2'
'x+1/2,y+1/2,z'
'-x+1/2,-y+1/2,-z'
'-x+1/2,y+1/2,-z+1/2'
'x+1/2,-y+1/2,z+1/2'
loop_
_atom_site_label
_atom_site_type_symbol
_atom_site_fract_x
_atom_site_fract_y
_atom_site_fract_z
Cs1 Cs 0.000 0.000 0.000
Cs2 Cs 0.250 0.250 0.000
Si1 Si 0.250 0.250 0.500
Te1 Te 0.000 0.500 0.000
Se1 Se 0.099 0.285 0.634
Se2 Se 0.196 0.422 0.366
```